Entry 1:
Simulated PXRD pattern of SrSmHfTiO6 for copper Kα, from a cell relaxed with PBE.
No peak broadening, texture or thermal motion is included.

Most intense lines, 2θ = 10–90°, by angle:
two_theta	Rel. int.
19.08	23.1
31.41	100.0
37.01	14.5
45.01	30.8
49.30	6.9
55.91	39.7
65.55	18.8
74.49	17.2

Cell and atoms:
```
SrSmHfTiO6
1.0
0.000 4.028 4.028
4.028 0.000 4.028
4.028 4.028 0.000
Sr Sm Hf Ti O
1 1 1 1 6
direct
0.000 0.000 0.000
0.500 0.500 0.500
0.750 0.750 0.750
0.250 0.250 0.250
0.005 0.005 0.495
0.005 0.495 0.005
0.005 0.495 0.495
0.495 0.005 0.005
0.495 0.005 0.495
0.495 0.495 0.005
```

Entry 2:
Simulated PXRD pattern of SrHf4SnO12 for copper Kα, from a cell relaxed with PBE.
No peak broadening, texture or thermal motion is included.

Most intense lines, 2θ = 10–90°, by angle:
two_theta	Rel. int.
18.99	45.2
21.29	50.3
21.91	47.2
22.67	41.8
30.73	96.1
31.29	84.8
31.73	100.0
54.71	46.6

Cell and atoms:
```
SrHf4SnO12
1.0
3.922 -4.057 0.000
3.922 4.057 0.000
0.000 0.000 8.348
Sr Hf Sn O
1 4 1 12
direct
0.000 0.000 0.000
0.000 0.500 0.255
0.000 0.500 0.745
0.500 0.000 0.255
0.500 0.000 0.745
0.500 0.500 0.500
0.000 0.500 0.000
0.000 0.500 0.500
0.190 0.810 0.230
0.190 0.810 0.770
0.325 0.325 0.306
0.325 0.325 0.694
0.500 0.000 0.000
0.500 0.000 0.500
0.675 0.675 0.306
0.675 0.675 0.694
0.810 0.190 0.230
0.810 0.190 0.770
```

Entry 3:
Simulated PXRD pattern of SrHfTiSnO6 for copper Kα, from a cell relaxed with PBE.
No peak broadening, texture or thermal motion is included.

Most intense lines, 2θ = 10–90°, by angle:
two_theta	Rel. int.
19.01	22.1
31.30	100.0
36.88	14.5
44.85	32.0
49.12	7.2
55.70	40.3
65.29	19.6
74.19	17.8

Cell and atoms:
```
SrHfTiSnO6
1.0
0.000 4.042 4.042
4.042 0.000 4.042
4.042 4.042 0.000
Sr Hf Ti Sn O
1 1 1 1 6
direct
0.000 0.000 0.000
0.750 0.750 0.750
0.250 0.250 0.250
0.500 0.500 0.500
0.006 0.006 0.494
0.006 0.494 0.006
0.006 0.494 0.494
0.494 0.006 0.006
0.494 0.006 0.494
0.494 0.494 0.006
```